No. 1
The following is a simulated PXRD pattern of Dy3HoAl3. It was derived from a structure optimized by DFT (GGA-PBE), using Cu Kα.
No peak broadening, texture or thermal motion is included.

Crystal structure
```
data_Dy3HoAl3
_chemical_formula_sum 'Dy12 Ho4 Al12'
_cell_length_a 10.1975
_cell_length_b 10.2319
_cell_length_c 6.9176
_cell_angle_alpha 90.00
_cell_angle_beta 90.00
_cell_angle_gamma 90.00
_space_group_name_H-M_alt 'C m m m'
_space_group_IT_number 65
_space_group_name_Hall '-C 2 2'
loop_
_atom_site_label
_atom_site_fract_x
_atom_site_fract_y
_atom_site_fract_z
Dy1 0.0000 0.2436 0.0000
Dy2 0.2411 0.0000 0.5000
Dy3 0.2456 0.0000 0.0000
Ho1 0.0000 0.2458 0.5000
Al1 0.0000 0.5000 0.2528
Al2 0.2500 0.2500 0.2514
```

Largest 6 diffraction maxima, in order of rising 2θ, 2θ = 15–90°:
(2 2 0), 24.65 deg, I 79; (0 0 2), 25.76 deg, I 36; (0 4 0), 35.08 deg, I 27; (4 0 0), 35.20 deg, I 26; (2 2 2), 35.95 deg, I 100; (2 6 2), 63.50 deg, I 19

No. 2
The following is a simulated PXRD pattern of La3FeCoS7. It was derived from a structure optimized by DFT (GGA-PBE), using Cu Kα.
No peak broadening, texture or thermal motion is included.

Crystal structure
```
data_La3FeCoS7
_chemical_formula_sum 'La6 Fe2 Co2 S14'
_cell_length_a 10.0421
_cell_length_b 10.0421
_cell_length_c 6.1454
_cell_angle_alpha 90.00
_cell_angle_beta 90.00
_cell_angle_gamma 120.00
_space_group_name_H-M_alt 'P 63'
_space_group_IT_number 173
loop_
_space_group_symop_operation_xyz
'x,y,z'
'x-y,x,z+1/2'
'-y,x-y,z'
'-x,-y,z+1/2'
'-x+y,-x,z'
'y,-x+y,z+1/2'
loop_
_atom_site_label
_atom_site_fract_x
_atom_site_fract_y
_atom_site_fract_z
La1 0.1513 0.7742 0.0000
Fe1 0.3333 0.6667 0.5835
Co1 0.0000 0.0000 0.1713
S1 0.0851 0.8756 0.4181
S2 0.0937 0.5194 0.7191
S3 0.3333 0.6667 0.2181
```

Largest 6 diffraction maxima, in order of rising 2θ, 2θ = 15–90°:
(2 0 1), 25.09 deg, I 100; (3 0 1), 34.20 deg, I 51; (2 2 0), 35.77 deg, I 66; (2 1 2), 40.17 deg, I 50; (1 4 0), 47.94 deg, I 31; (4 1 3), 67.24 deg, I 28

No. 3
The following is a simulated PXRD pattern of Cs2SmAg2Cl6. It was derived from a structure optimized by DFT (GGA-PBE), using Cu Kα.
No peak broadening, texture or thermal motion is included.

Crystal structure
```
data_Cs2SmAg2Cl6
_chemical_formula_sum 'Cs4 Sm2 Ag4 Cl12'
_cell_length_a 13.4123
_cell_length_b 7.8208
_cell_length_c 8.9299
_cell_angle_alpha 90.00
_cell_angle_beta 122.03
_cell_angle_gamma 90.00
_space_group_name_H-M_alt 'C 1 2/m 1'
_space_group_IT_number 12
loop_
_space_group_symop_operation_xyz
'x,y,z'
'-x,-y,-z'
'-x,y,-z'
'x,-y,z'
'x+1/2,y+1/2,z'
'-x+1/2,-y+1/2,-z'
'-x+1/2,y+1/2,-z'
'x+1/2,-y+1/2,z'
loop_
_atom_site_label
_atom_site_fract_x
_atom_site_fract_y
_atom_site_fract_z
Cs1 0.2091 0.0000 0.1770
Sm1 0.0000 0.0000 0.5000
Ag1 0.0476 0.5000 0.1778
Cl1 0.0579 0.2359 0.7578
Cl2 0.2252 0.0000 0.5791
```

Largest 6 diffraction maxima, in order of rising 2θ, 2θ = 15–90°:
(1 1 1), 20.61 deg, I 49; (0 2 0), 22.74 deg, I 50; (3 1 -1), 22.92 deg, I 100; (1 1 -2), 23.42 deg, I 69; (2 2 -2), 30.56 deg, I 33; (6 0 -2), 40.35 deg, I 32

No. 4
The following is a simulated PXRD pattern of Sr3InAg8. It was derived from a structure optimized by DFT (GGA-PBE), using Cu Kα.
No peak broadening, texture or thermal motion is included.

Crystal structure
```
data_Sr3InAg8
_chemical_formula_sum 'Sr9 In3 Ag24'
_cell_length_a 5.8089
_cell_length_b 5.8089
_cell_length_c 29.0581
_cell_angle_alpha 90.00
_cell_angle_beta 90.00
_cell_angle_gamma 120.00
_space_group_name_H-M_alt 'R 3 m'
_space_group_IT_number 160
_space_group_name_Hall 'R 3 -2"'
loop_
_atom_site_label
_atom_site_fract_x
_atom_site_fract_y
_atom_site_fract_z
Sr1 0.0000 0.0000 0.0000
Sr2 0.0000 0.0000 0.1293
Sr3 0.0000 0.0000 0.6132
In1 0.0000 0.0000 0.4930
Ag1 0.0000 0.0000 0.3099
Ag2 0.0000 0.0000 0.8106
Ag3 0.0001 0.5001 0.0610
Ag4 0.0035 0.5017 0.5595
```

Largest 6 diffraction maxima, in order of rising 2θ, 2θ = 15–90°:
(1 0 10), 35.68 deg, I 49; (1 1 6), 36.06 deg, I 100; (2 0 2), 36.24 deg, I 50; (0 2 4), 37.85 deg, I 69; (0 2 16), 63.14 deg, I 26; (2 2 0), 64.13 deg, I 28

No. 5
The following is a simulated PXRD pattern of Cd2Pd4Au. It was derived from a structure optimized by DFT (GGA-PBE), using Cu Kα.
No peak broadening, texture or thermal motion is included.

Crystal structure
```
data_Cd2Pd4Au
_chemical_formula_sum 'Cd4 Pd8 Au2'
_cell_length_a 6.9095
_cell_length_b 5.6245
_cell_length_c 7.0316
_cell_angle_alpha 90.00
_cell_angle_beta 114.58
_cell_angle_gamma 90.00
_space_group_name_H-M_alt 'P 1 21/m 1'
_space_group_IT_number 11
loop_
_space_group_symop_operation_xyz
'x,y,z'
'-x,-y,-z'
'-x,y+1/2,-z'
'x,-y+1/2,z'
loop_
_atom_site_label
_atom_site_fract_x
_atom_site_fract_y
_atom_site_fract_z
Cd1 0.0716 0.2500 0.3457
Cd2 0.2805 0.7500 0.0744
Pd1 0.0601 0.7500 0.3330
Pd2 0.3208 0.5030 0.7330
Pd3 0.4979 0.7500 0.5043
Au1 0.2742 0.2500 0.0590
```

Largest 6 diffraction maxima, in order of rising 2θ, 2θ = 15–90°:
(0 2 0), 31.82 deg, I 54; (2 0 1), 36.75 deg, I 100; (1 0 -3), 38.55 deg, I 97; (1 2 1), 40.01 deg, I 65; (3 0 -2), 40.50 deg, I 62; (2 2 -1), 41.46 deg, I 84

No. 6
The following is a simulated PXRD pattern of Pm2Ho4Tm7. It was derived from a structure optimized by DFT (GGA-PBE), using Cu Kα.
No peak broadening, texture or thermal motion is included.

Crystal structure
```
data_Pm2Ho4Tm7
_chemical_formula_sum 'Pm2 Ho4 Tm7'
_cell_length_a 5.9988
_cell_length_b 5.9988
_cell_length_c 13.3080
_cell_angle_alpha 90.00
_cell_angle_beta 90.00
_cell_angle_gamma 120.00
_space_group_name_H-M_alt 'P -3 1 m'
_space_group_IT_number 162
_space_group_name_Hall '-P 3 2'
loop_
_atom_site_label
_atom_site_fract_x
_atom_site_fract_y
_atom_site_fract_z
Pm1 0.3333 0.6667 0.0000
Ho1 0.0000 0.0000 0.3951
Ho2 0.3333 0.6667 0.5000
Tm1 0.0000 0.0000 0.0000
Tm2 0.0000 0.3486 0.2146
```

Largest 6 diffraction maxima, in order of rising 2θ, 2θ = 15–90°:
(0 0 4), 26.80 deg, I 19; (1 1 1), 30.55 deg, I 49; (2 -1 2), 32.75 deg, I 100; (1 1 3), 36.15 deg, I 32; (2 -1 6), 51.22 deg, I 19; (3 0 0), 52.87 deg, I 30

No. 7
The following is a simulated PXRD pattern of Sr2MnCu3Ge4. It was derived from a structure optimized by DFT (GGA-PBE), using Cu Kα.
No peak broadening, texture or thermal motion is included.

Crystal structure
```
data_Sr2MnCu3Ge4
_chemical_formula_sum 'Sr2 Mn1 Cu3 Ge4'
_cell_length_a 4.2688
_cell_length_b 4.2688
_cell_length_c 10.5061
_cell_angle_alpha 90.00
_cell_angle_beta 90.00
_cell_angle_gamma 90.00
_space_group_name_H-M_alt 'P -4 m 2'
_space_group_IT_number 115
loop_
_space_group_symop_operation_xyz
'x,y,z'
'y,-x,-z'
'-x,-y,z'
'-y,x,-z'
'-x,y,z'
'-y,-x,-z'
'x,-y,z'
'y,x,-z'
loop_
_atom_site_label
_atom_site_fract_x
_atom_site_fract_y
_atom_site_fract_z
Sr1 0.0000 0.5000 0.2491
Mn1 0.0000 0.0000 0.5000
Cu1 0.0000 0.5000 0.8700
Cu2 0.5000 0.5000 0.5000
Ge1 0.0000 0.0000 0.0000
Ge2 0.0000 0.5000 0.6277
Ge3 0.5000 0.5000 0.0000
```

Largest 6 diffraction maxima, in order of rising 2θ, 2θ = 15–90°:
(1 0 3), 33.09 deg, I 68; (1 1 2), 34.26 deg, I 100; (2 0 0), 42.35 deg, I 69; (1 1 4), 45.80 deg, I 31; (1 0 5), 48.28 deg, I 28; (2 1 3), 54.76 deg, I 31

No. 8
The following is a simulated PXRD pattern of PrCdPdAu. It was derived from a structure optimized by DFT (GGA-PBE), using Cu Kα.
No peak broadening, texture or thermal motion is included.

Crystal structure
```
data_PrCdPdAu
_chemical_formula_sum 'Pr4 Cd4 Pd4 Au4'
_cell_length_a 7.0747
_cell_length_b 7.0747
_cell_length_c 7.0747
_cell_angle_alpha 90.00
_cell_angle_beta 90.00
_cell_angle_gamma 90.00
_space_group_name_H-M_alt 'F -4 3 m'
_space_group_IT_number 216
_space_group_name_Hall 'F -4 2 3'
loop_
_atom_site_label
_atom_site_fract_x
_atom_site_fract_y
_atom_site_fract_z
Pr1 0.0000 0.0000 0.0000
Cd1 0.0000 0.0000 0.5000
Pd1 0.2500 0.2500 0.7500
Au1 0.2500 0.2500 0.2500
```

Largest 6 diffraction maxima, in order of rising 2θ, 2θ = 15–90°:
(1 1 1), 21.76 deg, I 6; (2 2 0), 35.90 deg, I 100; (4 0 0), 51.68 deg, I 18; (4 2 2), 64.53 deg, I 36; (4 4 0), 76.11 deg, I 11; (6 2 0), 87.13 deg, I 16

No. 9
The following is a simulated PXRD pattern of Tl8VTe6. It was derived from a structure optimized by DFT (GGA-PBE), using Cu Kα.
No peak broadening, texture or thermal motion is included.

Crystal structure
```
data_Tl8VTe6
_chemical_formula_sum 'Tl16 V2 Te12'
_cell_length_a 8.2749
_cell_length_b 10.4760
_cell_length_c 12.8167
_cell_angle_alpha 90.00
_cell_angle_beta 90.00
_cell_angle_gamma 90.00
_space_group_name_H-M_alt 'P m n 21'
_space_group_IT_number 31
loop_
_space_group_symop_operation_xyz
'x,y,z'
'-x+1/2,-y,z+1/2'
'-x,y,z'
'x+1/2,-y,z+1/2'
loop_
_atom_site_label
_atom_site_fract_x
_atom_site_fract_y
_atom_site_fract_z
Tl1 0.0000 0.0441 0.0000
Tl2 0.0000 0.2503 0.4073
Tl3 0.2202 0.4465 0.8748
Tl4 0.2383 0.8192 0.7038
Tl5 0.2412 0.6719 0.1046
V1 0.0000 0.8388 0.4352
Te1 0.0000 0.0158 0.5720
Te2 0.0000 0.4665 0.2008
Te3 0.0000 0.6276 0.5438
Te4 0.0000 0.7610 0.9100
Te5 0.2474 0.8597 0.3183
```

Largest 6 diffraction maxima, in order of rising 2θ, 2θ = 15–90°:
(2 0 2), 25.63 deg, I 49; (0 3 1), 26.45 deg, I 55; (2 1 2), 27.01 deg, I 58; (0 3 2), 29.12 deg, I 94; (2 2 2), 30.87 deg, I 100; (2 1 3), 31.28 deg, I 92

No. 10
The following is a simulated PXRD pattern of YB11. It was derived from a structure optimized by DFT (GGA-PBE), using Cu Kα.
No peak broadening, texture or thermal motion is included.

Crystal structure
```
data_YB11
_chemical_formula_sum 'Y4 B44'
_cell_length_a 6.9102
_cell_length_b 6.9102
_cell_length_c 8.9545
_cell_angle_alpha 90.00
_cell_angle_beta 90.00
_cell_angle_gamma 90.00
_space_group_name_H-M_alt 'I 41/a m d'
_space_group_IT_number 141
loop_
_space_group_symop_operation_xyz
'x,y,z'
'-x,-y,-z'
'-y+1/4,x+3/4,z+1/4'
'y+1/4,-x+3/4,-z+1/4'
'-x+1/2,-y,z+1/2'
'x+1/2,y,-z+1/2'
'y+1/4,-x+1/4,z+3/4'
'-y+1/4,x+1/4,-z+3/4'
'x,-y,-z'
'-x,y,z'
'-y+1/4,-x+1/4,-z+3/4'
'y+1/4,x+1/4,z+3/4'
'-x+1/2,y,-z+1/2'
'x+1/2,-y,z+1/2'
'y+1/4,x+3/4,-z+1/4'
'-y+1/4,-x+3/4,z+1/4'
'x+1/2,y+1/2,z+1/2'
'-x+1/2,-y+1/2,-z+1/2'
'-y+3/4,x+1/4,z+3/4'
'y+3/4,-x+1/4,-z+3/4'
'-x,-y+1/2,z'
'x,y+1/2,-z'
'y+3/4,-x+3/4,z+1/4'
'-y+3/4,x+3/4,-z+1/4'
'x+1/2,-y+1/2,-z+1/2'
'-x+1/2,y+1/2,z+1/2'
'-y+3/4,-x+3/4,-z+1/4'
'y+3/4,x+3/4,z+1/4'
'-x,y+1/2,-z'
'x,-y+1/2,z'
'y+3/4,x+1/4,-z+3/4'
'-y+3/4,-x+1/4,z+3/4'
loop_
_atom_site_label
_atom_site_fract_x
_atom_site_fract_y
_atom_site_fract_z
Y1 0.0000 0.2500 0.3750
B1 0.0000 0.0000 0.0000
B2 0.0000 0.2500 0.8750
B3 0.1413 0.0561 0.6777
```

Largest 6 diffraction maxima, in order of rising 2θ, 2θ = 15–90°:
(1 0 1), 16.20 deg, I 92; (2 0 0), 25.79 deg, I 31; (1 1 2), 27.01 deg, I 100; (2 1 1), 30.60 deg, I 71; (1 0 3), 32.68 deg, I 63; (3 1 2), 46.23 deg, I 80

No. 11
The following is a simulated PXRD pattern of NdDySi4. It was derived from a structure optimized by DFT (GGA-PBE), using Cu Kα.
No peak broadening, texture or thermal motion is included.

Crystal structure
```
data_NdDySi4
_chemical_formula_sum 'Nd4 Dy4 Si16'
_cell_length_a 8.2769
_cell_length_b 14.6891
_cell_length_c 4.1309
_cell_angle_alpha 90.00
_cell_angle_beta 90.00
_cell_angle_gamma 90.00
_space_group_name_H-M_alt 'P b a m'
_space_group_IT_number 55
loop_
_space_group_symop_operation_xyz
'x,y,z'
'-x,-y,-z'
'-x,-y,z'
'x,y,-z'
'x+1/2,-y+1/2,-z'
'-x+1/2,y+1/2,z'
'-x+1/2,y+1/2,-z'
'x+1/2,-y+1/2,z'
loop_
_atom_site_label
_atom_site_fract_x
_atom_site_fract_y
_atom_site_fract_z
Nd1 0.1162 0.1372 0.0000
Dy1 0.1406 0.4121 0.0000
Si1 0.0258 0.2934 0.5000
Si2 0.1216 0.5589 0.5000
Si3 0.1263 0.9643 0.5000
Si4 0.1896 0.8046 0.5000
```

Largest 6 diffraction maxima, in order of rising 2θ, 2θ = 15–90°:
(0 0 1), 21.51 deg, I 41; (2 1 0), 22.32 deg, I 60; (2 3 0), 28.23 deg, I 46; (2 1 1), 31.19 deg, I 93; (0 4 1), 32.63 deg, I 65; (2 3 1), 35.77 deg, I 100